Record 1
Diffraction record for VSbRhI2. The PXRD pattern is theoretical, not measured: it uses a GGA-PBE-relaxed structure and copper Kα.
Peak positions follow from Bragg's law for the DFT cell and can differ from measured ones.

Main lines, by angle (10° ≤ 2θ ≤ 90°):
d (Å)	2θ/deg	Rel. int.
5.529	16.0	61.8
3.078	29.0	96.1
2.765	32.4	100.0
2.496	36.0	37.4
1.955	46.5	35.8
1.853	49.2	60.3
1.650	55.7	29.4
1.539	60.1	32.5

Atomic structure:
```
VSbRhI2
1.0
5.5291 0.0000 0.0000
0.0000 5.5291 0.0000
0.0000 0.0000 4.9923
V Sb Rh I
1 1 1 2
Cartesian
0.0000 0.0000 0.0000
2.7646 2.7646 0.0000
2.7646 2.7646 2.4961
0.0000 2.7646 2.4961
2.7646 0.0000 2.4961
```



Record 2
Diffraction record for SmThRhI. The PXRD pattern is theoretical, not measured: it uses a GGA-PBE-relaxed structure and copper Kα.
Peak positions follow from Bragg's law for the DFT cell and can differ from measured ones.

Main lines, by angle (10° ≤ 2θ ≤ 90°):
d (Å)	2θ/deg	Rel. int.
8.205	10.8	30.0
3.469	25.7	25.5
3.117	28.6	37.8
2.914	30.7	100.0
2.087	43.3	48.6
2.035	44.5	18.8
1.697	54.0	20.5
1.659	55.4	19.3

Atomic structure:
```
SmThRhI
1.0
2.0874 1.2051 8.2047
-2.0874 1.2051 8.2047
0.0000 -2.4103 8.2047
Sm Th Rh I
1 1 1 1
Cartesian
0.0000 0.0000 0.0000
0.0000 0.0000 5.2413
0.0000 0.0000 14.8226
0.0000 0.0000 19.0059
```



- Number 2 is which compound?
  SmThRhI